1.
Starting from DFT lattice parameters and positions (PBE), the XRD peak list of Ce3ScP4 was calculated for CuKα.
Kinematic intensities with the Lorentz-polarization factor, no thermal factor.

Largest 12 diffraction maxima, by intensity, 2θ = 10–80°:
| two_theta | I (rel.) |
| --- | --- |
| 31.54 | 1000 |
| 45.20 | 715 |
| 27.22 | 643 |
| 53.55 | 232 |
| 56.12 | 185 |
| 74.78 | 156 |
| 74.89 | 155 |
| 65.84 | 113 |
| 72.59 | 82 |
| 53.63 | 78 |
| 17.48 | 66 |
| 56.25 | 61 |

Structural model:
```
Ce3ScP4
1.0
6.9417 0.0000 0.0000
0.0000 8.0286 0.0000
-2.3287 0.0000 6.5553
Ce Sc P
6 2 8
Direct
0.0000 0.1233 0.2500 Ce
0.0000 0.3722 0.7500 Ce
0.0000 0.6278 0.2500 Ce
0.0000 0.8767 0.7500 Ce
0.5000 0.3722 0.2500 Ce
0.5000 0.6278 0.7500 Ce
0.5000 0.1235 0.7500 Sc
0.5000 0.8765 0.2500 Sc
0.2570 0.3684 0.5068 P
0.2570 0.6316 0.0068 P
0.2630 0.1175 0.0005 P
0.2630 0.8825 0.5005 P
0.7370 0.1175 0.4995 P
0.7370 0.8825 0.9995 P
0.7430 0.3684 0.9932 P
0.7430 0.6316 0.4932 P
```

2.
Starting from DFT lattice parameters and positions (PBE), the XRD peak list of CeSc5P6 was calculated for CuKα.
Kinematic intensities with the Lorentz-polarization factor, no thermal factor.

Largest 12 diffraction maxima, by intensity, 2θ = 10–80°:
| two_theta | I (rel.) |
| --- | --- |
| 33.22 | 1000 |
| 47.68 | 672 |
| 79.44 | 233 |
| 59.35 | 224 |
| 28.66 | 206 |
| 69.73 | 101 |
| 16.21 | 98 |
| 18.17 | 77 |
| 14.22 | 61 |
| 56.60 | 60 |
| 21.09 | 58 |
| 15.49 | 54 |

Structural model:
```
CeSc5P6
1.0
3.3039 -5.7201 0.0000
3.3039 5.7201 0.0000
-2.2109 0.0000 6.2298
Ce Sc P
1 5 6
Direct
0.0000 0.0000 0.0000 Ce
0.1645 0.8355 0.5000 Sc
0.3330 0.6670 0.0000 Sc
0.5000 0.5000 0.5000 Sc
0.6670 0.3330 0.0000 Sc
0.8355 0.1645 0.5000 Sc
0.0855 0.4273 0.2566 P
0.2573 0.2573 0.7461 P
0.4273 0.0855 0.2566 P
0.5727 0.9145 0.7434 P
0.7427 0.7427 0.2539 P
0.9145 0.5727 0.7434 P
```

3.
Starting from DFT lattice parameters and positions (PBE), the XRD peak list of Ce4ScP6 was calculated for CuKα.
Kinematic intensities with the Lorentz-polarization factor, no thermal factor.

Largest 12 diffraction maxima, by intensity, 2θ = 10–80°:
| two_theta | I (rel.) |
| --- | --- |
| 28.17 | 1000 |
| 25.19 | 931 |
| 38.15 | 639 |
| 34.65 | 469 |
| 31.95 | 426 |
| 22.69 | 374 |
| 36.00 | 350 |
| 49.38 | 341 |
| 48.77 | 335 |
| 70.75 | 320 |
| 43.52 | 274 |
| 38.96 | 253 |

Structural model:
```
Ce4ScP6
1.0
5.4861 3.1674 4.6234
-5.4861 3.1674 4.6234
0.0000 -6.3349 4.6234
Ce Sc P
8 2 12
Direct
0.1279 0.7500 0.3721 Ce
0.2500 0.2500 0.2500 Ce
0.2500 0.6279 0.8721 Ce
0.3721 0.1279 0.7500 Ce
0.6279 0.8721 0.2500 Ce
0.7500 0.3721 0.1279 Ce
0.7500 0.7500 0.7500 Ce
0.8721 0.2500 0.6279 Ce
0.0000 0.0000 0.0000 Sc
0.5000 0.5000 0.5000 Sc
0.0669 0.9167 0.6869 P
0.0833 0.3131 0.9331 P
0.1869 0.4167 0.5669 P
0.3131 0.9331 0.0833 P
0.4167 0.5669 0.1869 P
0.4331 0.8131 0.5833 P
0.5669 0.1869 0.4167 P
0.5833 0.4331 0.8131 P
0.6869 0.0669 0.9167 P
0.8131 0.5833 0.4331 P
0.9167 0.6869 0.0669 P
0.9331 0.0833 0.3131 P
```

4.
Starting from DFT lattice parameters and positions (PBE), the XRD peak list of TbCePSe was calculated for CuKα.
Kinematic intensities with the Lorentz-polarization factor, no thermal factor.

Largest 12 diffraction maxima, by intensity, 2θ = 10–80°:
| two_theta | I (rel.) |
| --- | --- |
| 30.73 | 1000 |
| 44.31 | 368 |
| 43.73 | 357 |
| 26.65 | 297 |
| 54.89 | 191 |
| 73.10 | 163 |
| 72.26 | 146 |
| 64.01 | 114 |
| 26.20 | 96 |
| 52.20 | 92 |
| 53.90 | 58 |
| 33.50 | 54 |

Structural model:
```
TbCePSe
1.0
2.0443 1.1803 6.8036
-2.0443 1.1803 6.8036
0.0000 -2.3606 6.8036
Tb Ce P Se
1 1 1 1
Direct
0.0000 0.0000 0.0000 Tb
0.5120 0.5120 0.5120 Ce
0.2583 0.2583 0.2583 P
0.7538 0.7538 0.7538 Se
```

5.
Starting from DFT lattice parameters and positions (PBE), the XRD peak list of Ce6Te3P2Se was calculated for CuKα.
Kinematic intensities with the Lorentz-polarization factor, no thermal factor.

Largest 12 diffraction maxima, by intensity, 2θ = 10–80°:
| two_theta | I (rel.) |
| --- | --- |
| 29.32 | 1000 |
| 42.43 | 249 |
| 41.44 | 224 |
| 52.50 | 128 |
| 42.55 | 126 |
| 41.33 | 113 |
| 60.81 | 106 |
| 69.62 | 105 |
| 77.06 | 79 |
| 31.92 | 79 |
| 68.21 | 78 |
| 25.52 | 78 |

Structural model:
```
Ce6Te3P2Se
1.0
9.4712 -2.1249 0.0000
9.4712 2.1249 0.0000
-2.2887 0.0000 8.4373
Ce Te P Se
6 3 2 1
Direct
0.0107 0.0107 0.2412 Ce
0.3252 0.3252 0.4362 Ce
0.3363 0.3363 0.8913 Ce
0.6637 0.6637 0.1087 Ce
0.6748 0.6748 0.5638 Ce
0.9893 0.9893 0.7588 Ce
0.1642 0.1642 0.8332 Te
0.5000 0.5000 0.5000 Te
0.8358 0.8358 0.1668 Te
0.1676 0.1676 0.3345 P
0.8324 0.8324 0.6655 P
0.5000 0.5000 0.0000 Se
```

6.
Starting from DFT lattice parameters and positions (PBE), the XRD peak list of CeTlP2Se6 was calculated for CuKα.
Kinematic intensities with the Lorentz-polarization factor, no thermal factor.

Largest 12 diffraction maxima, by intensity, 2θ = 10–80°:
| two_theta | I (rel.) |
| --- | --- |
| 28.84 | 1000 |
| 31.06 | 718 |
| 29.93 | 535 |
| 24.25 | 512 |
| 31.82 | 474 |
| 35.96 | 415 |
| 34.73 | 412 |
| 35.27 | 361 |
| 25.08 | 316 |
| 33.95 | 302 |
| 19.38 | 292 |
| 16.79 | 279 |

Structural model:
```
CeTlP2Se6
1.0
12.6490 0.0000 0.0000
0.0000 7.8914 0.0000
-3.9119 0.0000 11.2506
Ce Tl P Se
4 4 8 24
Direct
0.1480 0.1038 0.4035 Ce
0.1480 0.3962 0.9035 Ce
0.8520 0.6038 0.0965 Ce
0.8520 0.8962 0.5965 Ce
0.3727 0.5928 0.6300 Tl
0.3727 0.9072 0.1300 Tl
0.6273 0.0928 0.8700 Tl
0.6273 0.4072 0.3700 Tl
0.1717 0.5935 0.2453 P
0.1717 0.9065 0.7453 P
0.2866 0.1185 0.7312 P
0.2866 0.3815 0.2312 P
0.7134 0.6185 0.7688 P
0.7134 0.8815 0.2688 P
0.8283 0.0935 0.2547 P
0.8283 0.4065 0.7547 P
0.0480 0.0346 0.8144 Se
0.0480 0.4654 0.3144 Se
0.0869 0.6894 0.0628 Se
0.0869 0.8106 0.5628 Se
0.1701 0.1837 0.1322 Se
0.1701 0.3163 0.6322 Se
0.2795 0.7146 0.8633 Se
0.2795 0.7854 0.3633 Se
0.3665 0.2134 0.9145 Se
0.3665 0.2866 0.4145 Se
0.3832 0.0175 0.6234 Se
0.3832 0.4825 0.1234 Se
0.6168 0.5175 0.8766 Se
0.6168 0.9825 0.3766 Se
0.6335 0.7134 0.5855 Se
0.6335 0.7866 0.0855 Se
0.7205 0.2146 0.6367 Se
0.7205 0.2854 0.1367 Se
0.8299 0.6837 0.3678 Se
0.8299 0.8163 0.8678 Se
0.9131 0.1894 0.4372 Se
0.9131 0.3106 0.9372 Se
0.9520 0.5346 0.6856 Se
0.9520 0.9654 0.1856 Se
```

7.
Starting from DFT lattice parameters and positions (PBE), the XRD peak list of Ce5SmP6 was calculated for CuKα.
Kinematic intensities with the Lorentz-polarization factor, no thermal factor.

Largest 8 diffraction maxima, by intensity, 2θ = 10–80°:
| two_theta | I (rel.) |
| --- | --- |
| 30.89 | 1000 |
| 26.67 | 780 |
| 44.26 | 729 |
| 52.42 | 382 |
| 73.11 | 325 |
| 54.95 | 255 |
| 70.97 | 153 |
| 64.37 | 118 |

Structural model:
```
Ce5SmP6
1.0
3.5452 -6.1401 0.0000
3.5452 6.1401 0.0000
-2.3636 0.0000 6.6838
Ce Sm P
5 1 6
Direct
0.0000 0.0000 0.0000 Ce
0.1667 0.8333 0.5000 Ce
0.3337 0.6663 0.0000 Ce
0.6663 0.3337 0.0000 Ce
0.8333 0.1667 0.5000 Ce
0.5000 0.5000 0.5000 Sm
0.0811 0.4164 0.2492 P
0.2484 0.2484 0.7512 P
0.4164 0.0811 0.2492 P
0.5836 0.9189 0.7508 P
0.7516 0.7516 0.2488 P
0.9189 0.5836 0.7508 P
```

8.
Starting from DFT lattice parameters and positions (PBE), the XRD peak list of Tb2CeSmP4 was calculated for CuKα.
Kinematic intensities with the Lorentz-polarization factor, no thermal factor.

Largest 10 diffraction maxima, by intensity, 2θ = 10–80°:
| two_theta | I (rel.) |
| --- | --- |
| 31.15 | 1000 |
| 26.90 | 829 |
| 44.64 | 731 |
| 52.89 | 406 |
| 73.79 | 273 |
| 55.44 | 256 |
| 71.63 | 136 |
| 64.97 | 118 |
| 73.89 | 54 |
| 71.71 | 27 |

Structural model:
```
Tb2CeSmP4
1.0
7.0247 0.0000 0.0000
0.0000 4.0622 0.0000
-2.3369 0.0000 6.6331
Tb Ce Sm P
2 1 1 4
Direct
0.0000 0.0000 0.0000 Tb
0.0000 0.5000 0.5000 Tb
0.5000 0.0000 0.5000 Ce
0.5000 0.5000 0.0000 Sm
0.2472 0.0000 0.7462 P
0.2477 0.5000 0.2510 P
0.7523 0.5000 0.7490 P
0.7528 0.0000 0.2537 P
```